Entry 1:
Diffraction record for Ce6In3O. The X-ray powder pattern is simulated, not measured: it uses a PBE-relaxed structure and CuKα.
Lines closer than 0.1° are merged.

Crystal structure
abc: 8.091 8.091 8.091
angles: 78.98 78.98 78.98
Sites, in units of the cell vectors:
Ce: 0.137 0.794 0.794
Ce: 0.189 0.537 0.537
Ce: 0.206 0.206 0.863
Ce: 0.206 0.863 0.206
Ce: 0.463 0.463 0.811
Ce: 0.463 0.811 0.463
Ce: 0.537 0.189 0.537
Ce: 0.537 0.537 0.189
Ce: 0.794 0.137 0.794
Ce: 0.794 0.794 0.137
Ce: 0.811 0.463 0.463
Ce: 0.863 0.206 0.206
In: 0.150 0.150 0.472
In: 0.150 0.472 0.150
In: 0.472 0.150 0.150
In: 0.528 0.850 0.850
In: 0.850 0.528 0.850
In: 0.850 0.850 0.528
O: 0.000 0.000 0.000
O: 0.500 0.500 0.500

Top 10 peaks for 2θ = 10–90°, by angle:
| two_theta | I (rel.) |
| --- | --- |
| 30.08 | 22.3 |
| 32.61 | 23.6 |
| 34.32 | 100.0 |
| 44.95 | 15.8 |
| 53.42 | 18.7 |
| 59.29 | 17.8 |
| 64.00 | 19.3 |
| 65.05 | 14.6 |
| 83.88 | 6.5 |
| 88.98 | 12.5 |

---

Entry 2:
Diffraction record for CeTaInO6. The X-ray powder pattern is simulated, not measured: it uses a PBE-relaxed structure and CuKα.
Lines closer than 0.1° are merged.

Crystal structure
abc: 5.427 5.427 9.765
angles: 90.00 90.00 120.00
Sites, in units of the cell vectors:
Ce: 0.000 0.000 0.000
Ce: 0.000 0.000 0.500
Ta: 0.333 0.667 0.250
Ta: 0.667 0.333 0.750
In: 0.333 0.667 0.750
In: 0.667 0.333 0.250
O: 0.026 0.360 0.135
O: 0.026 0.666 0.365
O: 0.334 0.360 0.365
O: 0.334 0.974 0.135
O: 0.360 0.026 0.635
O: 0.360 0.334 0.865
O: 0.640 0.666 0.135
O: 0.640 0.974 0.365
O: 0.666 0.026 0.865
O: 0.666 0.640 0.635
O: 0.974 0.334 0.635
O: 0.974 0.640 0.865

Top 10 peaks for 2θ = 10–90°, by angle:
| two_theta | I (rel.) |
| --- | --- |
| 18.17 | 13.9 |
| 26.32 | 100.0 |
| 33.01 | 49.9 |
| 37.94 | 13.6 |
| 42.70 | 27.0 |
| 50.27 | 46.5 |
| 55.01 | 25.8 |
| 58.96 | 16.4 |
| 75.49 | 10.1 |
| 81.09 | 11.0 |

---

Entry 3:
Diffraction record for Ce3InOs. The X-ray powder pattern is simulated, not measured: it uses a PBE-relaxed structure and CuKα.
Lines closer than 0.1° are merged.

Crystal structure
abc: 8.091 3.752 8.658
angles: 90.00 102.88 90.00
Sites, in units of the cell vectors:
Ce: 0.055 0.250 0.177
Ce: 0.330 0.250 0.858
Ce: 0.429 0.250 0.346
Ce: 0.571 0.750 0.654
Ce: 0.670 0.750 0.142
Ce: 0.945 0.750 0.823
In: 0.159 0.750 0.520
In: 0.841 0.250 0.480
Os: 0.274 0.750 0.075
Os: 0.726 0.250 0.925

Top 10 peaks for 2θ = 10–90°, by angle:
| two_theta | I (rel.) |
| --- | --- |
| 10.48 | 29.2 |
| 31.92 | 35.0 |
| 32.26 | 100.0 |
| 33.36 | 31.0 |
| 34.41 | 32.1 |
| 36.24 | 65.4 |
| 36.47 | 18.8 |
| 41.77 | 15.2 |
| 41.96 | 23.4 |
| 48.53 | 25.4 |

---

Entry 4:
Diffraction record for Ce8In2Os3. The X-ray powder pattern is simulated, not measured: it uses a PBE-relaxed structure and CuKα.
Lines closer than 0.1° are merged.

Crystal structure
abc: 9.410 9.410 4.245
angles: 99.78 99.78 67.48
Sites, in units of the cell vectors:
Ce: 0.058 0.058 0.285
Ce: 0.119 0.640 0.926
Ce: 0.360 0.881 0.074
Ce: 0.382 0.382 0.447
Ce: 0.618 0.618 0.553
Ce: 0.640 0.119 0.926
Ce: 0.881 0.360 0.074
Ce: 0.942 0.942 0.715
In: 0.226 0.226 0.831
In: 0.774 0.774 0.169
Os: 0.275 0.725 0.500
Os: 0.500 0.500 0.000
Os: 0.725 0.275 0.500

Top 10 peaks for 2θ = 10–90°, by angle:
| two_theta | I (rel.) |
| --- | --- |
| 11.55 | 71.0 |
| 31.58 | 43.0 |
| 33.16 | 100.0 |
| 34.31 | 50.9 |
| 39.10 | 26.4 |
| 40.11 | 19.5 |
| 41.31 | 20.3 |
| 43.62 | 15.8 |
| 60.72 | 14.3 |
| 74.29 | 13.5 |

---

Entry 5:
Diffraction record for Ce3InOs. The X-ray powder pattern is simulated, not measured: it uses a PBE-relaxed structure and CuKα.
Lines closer than 0.1° are merged.

Crystal structure
abc: 7.871 7.871 6.465
angles: 90.01 90.01 38.31
Sites, in units of the cell vectors:
Ce: 0.046 0.046 0.233
Ce: 0.216 0.216 0.828
Ce: 0.381 0.381 0.591
Ce: 0.619 0.619 0.409
Ce: 0.784 0.784 0.172
Ce: 0.954 0.954 0.767
In: 0.412 0.412 0.103
In: 0.588 0.588 0.897
Os: 0.219 0.219 0.361
Os: 0.781 0.781 0.639

Top 10 peaks for 2θ = 10–90°, by angle:
| two_theta | I (rel.) |
| --- | --- |
| 11.90 | 16.3 |
| 18.18 | 16.3 |
| 30.15 | 29.9 |
| 33.24 | 29.4 |
| 34.77 | 100.0 |
| 37.51 | 87.1 |
| 46.20 | 12.3 |
| 46.64 | 17.9 |
| 64.10 | 18.6 |
| 68.65 | 12.3 |

---

Entry 6:
Diffraction record for Ce2In2PRh4. The X-ray powder pattern is simulated, not measured: it uses a PBE-relaxed structure and CuKα.
Lines closer than 0.1° are merged.

Crystal structure
abc: 6.328 6.328 6.328
angles: 119.76 119.76 90.41
Sites, in units of the cell vectors:
Ce: 0.198 0.198 0.000
Ce: 0.802 0.802 0.000
In: 0.250 0.750 0.500
In: 0.750 0.250 0.500
P: 0.500 0.500 0.000
Rh: 0.239 0.239 0.477
Rh: 0.239 0.761 0.000
Rh: 0.761 0.239 0.000
Rh: 0.761 0.761 0.523

Top 10 peaks for 2θ = 10–90°, by angle:
| two_theta | I (rel.) |
| --- | --- |
| 17.14 | 5.9 |
| 33.28 | 8.3 |
| 34.68 | 100.0 |
| 40.16 | 42.6 |
| 40.46 | 13.2 |
| 44.10 | 12.0 |
| 58.10 | 13.9 |
| 58.33 | 17.3 |
| 69.46 | 24.5 |
| 73.18 | 8.5 |

---

Entry 7:
Diffraction record for Ce4InPb. The X-ray powder pattern is simulated, not measured: it uses a PBE-relaxed structure and CuKα.
Lines closer than 0.1° are merged.

Crystal structure
abc: 6.255 6.255 6.255
angles: 131.19 118.09 82.56
Sites, in units of the cell vectors:
Ce: 0.072 0.824 0.248
Ce: 0.424 0.176 0.248
Ce: 0.576 0.824 0.752
Ce: 0.928 0.176 0.752
In: 0.000 0.500 0.500
Pb: 0.500 0.500 0.000

Top 10 peaks for 2θ = 10–90°, by angle:
| two_theta | I (rel.) |
| --- | --- |
| 33.44 | 100.0 |
| 33.76 | 55.1 |
| 34.18 | 81.4 |
| 34.71 | 46.1 |
| 49.20 | 38.2 |
| 59.70 | 26.3 |
| 61.41 | 17.3 |
| 61.88 | 14.7 |
| 67.96 | 25.5 |
| 68.72 | 14.2 |

---

Entry 8:
Diffraction record for Ce4In5Pb. The X-ray powder pattern is simulated, not measured: it uses a PBE-relaxed structure and CuKα.
Lines closer than 0.1° are merged.

Crystal structure
abc: 8.158 8.158 8.158
angles: 145.36 99.19 91.00
Sites, in units of the cell vectors:
Ce: 0.218 0.218 0.000
Ce: 0.290 0.000 0.290
Ce: 0.710 0.000 0.710
Ce: 0.782 0.782 0.000
In: 0.000 0.500 0.500
In: 0.021 0.313 0.708
In: 0.395 0.687 0.708
In: 0.605 0.313 0.292
In: 0.979 0.687 0.292
Pb: 0.500 0.500 0.000

Top 10 peaks for 2θ = 10–90°, by angle:
| two_theta | I (rel.) |
| --- | --- |
| 24.83 | 17.4 |
| 26.10 | 21.1 |
| 31.33 | 58.4 |
| 33.90 | 20.7 |
| 34.38 | 100.0 |
| 37.01 | 30.7 |
| 49.25 | 22.3 |
| 62.50 | 14.2 |
| 63.19 | 17.7 |
| 65.02 | 15.4 |

---

Entry 9:
Diffraction record for CeSmInPb. The X-ray powder pattern is simulated, not measured: it uses a PBE-relaxed structure and CuKα.
Lines closer than 0.1° are merged.

Crystal structure
abc: 5.764 5.764 5.764
angles: 128.08 128.08 76.50
Sites, in units of the cell vectors:
Ce: 0.000 0.000 0.000
Sm: 0.500 0.500 0.000
In: 0.750 0.250 0.500
Pb: 0.250 0.750 0.500

Top 10 peaks for 2θ = 10–90°, by angle:
| two_theta | I (rel.) |
| --- | --- |
| 31.94 | 100.0 |
| 35.58 | 37.5 |
| 39.83 | 13.8 |
| 51.20 | 13.3 |
| 54.47 | 22.2 |
| 61.63 | 30.5 |
| 66.77 | 12.0 |
| 67.39 | 11.7 |
| 84.16 | 6.5 |
| 89.37 | 11.6 |

---

Entry 10:
Diffraction record for SrCeInPb. The X-ray powder pattern is simulated, not measured: it uses a PBE-relaxed structure and CuKα.
Lines closer than 0.1° are merged.

Crystal structure
abc: 5.653 5.653 5.653
angles: 60.00 60.00 60.00
Sites, in units of the cell vectors:
Sr: 0.000 0.000 0.000
Ce: 0.500 0.500 0.500
In: 0.750 0.750 0.750
Pb: 0.250 0.250 0.250

Top 10 peaks for 2θ = 10–90°, by angle:
| two_theta | I (rel.) |
| --- | --- |
| 19.23 | 7.2 |
| 22.24 | 3.3 |
| 31.65 | 100.0 |
| 37.30 | 4.4 |
| 45.37 | 18.5 |
| 49.71 | 2.1 |
| 56.38 | 38.8 |
| 66.11 | 12.0 |
| 75.16 | 16.7 |
| 83.83 | 4.3 |

---

Entry 11:
Diffraction record for Ce3In4Pd4. The X-ray powder pattern is simulated, not measured: it uses a PBE-relaxed structure and CuKα.
Lines closer than 0.1° are merged.

Crystal structure
abc: 8.722 8.722 8.722
angles: 151.83 125.80 62.19
Sites, in units of the cell vectors:
Ce: 0.000 0.000 0.000
Ce: 0.384 0.884 0.500
Ce: 0.616 0.116 0.500
In: 0.024 0.328 0.696
In: 0.368 0.672 0.696
In: 0.632 0.328 0.304
In: 0.976 0.672 0.304
Pd: 0.227 0.227 0.000
Pd: 0.311 0.500 0.811
Pd: 0.689 0.500 0.189
Pd: 0.773 0.773 0.000

Top 10 peaks for 2θ = 10–90°, by angle:
| two_theta | I (rel.) |
| --- | --- |
| 31.42 | 100.0 |
| 32.01 | 28.5 |
| 33.91 | 87.4 |
| 38.50 | 37.1 |
| 41.99 | 24.4 |
| 42.60 | 37.6 |
| 42.87 | 15.7 |
| 54.27 | 19.8 |
| 58.76 | 21.1 |
| 67.78 | 20.0 |

---

Entry 12:
Diffraction record for Ce8InPd24. The X-ray powder pattern is simulated, not measured: it uses a PBE-relaxed structure and CuKα.
Lines closer than 0.1° are merged.

Crystal structure
abc: 8.492 8.492 8.492
angles: 90.00 90.00 90.00
Sites, in units of the cell vectors:
Ce: 0.248 0.248 0.248
Ce: 0.248 0.248 0.752
Ce: 0.248 0.752 0.248
Ce: 0.248 0.752 0.752
Ce: 0.752 0.248 0.248
Ce: 0.752 0.248 0.752
Ce: 0.752 0.752 0.248
Ce: 0.752 0.752 0.752
In: 0.000 0.000 0.000
Pd: 0.000 0.000 0.317
Pd: 0.000 0.000 0.683
Pd: 0.000 0.268 0.500
Pd: 0.000 0.317 0.000
Pd: 0.000 0.500 0.268
Pd: 0.000 0.500 0.732
Pd: 0.000 0.683 0.000
Pd: 0.000 0.732 0.500
Pd: 0.256 0.500 0.500
Pd: 0.268 0.000 0.500
Pd: 0.268 0.500 0.000
Pd: 0.317 0.000 0.000
Pd: 0.500 0.000 0.268
Pd: 0.500 0.000 0.732
Pd: 0.500 0.256 0.500
Pd: 0.500 0.268 0.000
Pd: 0.500 0.500 0.256
Pd: 0.500 0.500 0.744
Pd: 0.500 0.732 0.000
Pd: 0.500 0.744 0.500
Pd: 0.683 0.000 0.000
Pd: 0.732 0.000 0.500
Pd: 0.732 0.500 0.000
Pd: 0.744 0.500 0.500

Top 10 peaks for 2θ = 10–90°, by angle:
| two_theta | I (rel.) |
| --- | --- |
| 29.76 | 6.5 |
| 36.66 | 100.0 |
| 38.21 | 8.5 |
| 42.59 | 55.1 |
| 43.96 | 6.7 |
| 61.80 | 30.4 |
| 74.05 | 28.7 |
| 75.03 | 4.7 |
| 77.95 | 8.5 |
| 78.91 | 4.7 |

---

What did the third record say?
Diffraction record for Ce3InOs. The X-ray powder pattern is simulated, not measured: it uses a PBE-relaxed structure and CuKα.
Lines closer than 0.1° are merged.

Crystal structure
abc: 8.091 3.752 8.658
angles: 90.00 102.88 90.00
Sites, in units of the cell vectors:
Ce: 0.055 0.250 0.177
Ce: 0.330 0.250 0.858
Ce: 0.429 0.250 0.346
Ce: 0.571 0.750 0.654
Ce: 0.670 0.750 0.142
Ce: 0.945 0.750 0.823
In: 0.159 0.750 0.520
In: 0.841 0.250 0.480
Os: 0.274 0.750 0.075
Os: 0.726 0.250 0.925

Top 10 peaks for 2θ = 10–90°, by angle:
| two_theta | I (rel.) |
| --- | --- |
| 10.48 | 29.2 |
| 31.92 | 35.0 |
| 32.26 | 100.0 |
| 33.36 | 31.0 |
| 34.41 | 32.1 |
| 36.24 | 65.4 |
| 36.47 | 18.8 |
| 41.77 | 15.2 |
| 41.96 | 23.4 |
| 48.53 | 25.4 |

---

Please write out number 7 again, unchanged.
Diffraction record for Ce4InPb. The X-ray powder pattern is simulated, not measured: it uses a PBE-relaxed structure and CuKα.
Lines closer than 0.1° are merged.

Crystal structure
abc: 6.255 6.255 6.255
angles: 131.19 118.09 82.56
Sites, in units of the cell vectors:
Ce: 0.072 0.824 0.248
Ce: 0.424 0.176 0.248
Ce: 0.576 0.824 0.752
Ce: 0.928 0.176 0.752
In: 0.000 0.500 0.500
Pb: 0.500 0.500 0.000

Top 10 peaks for 2θ = 10–90°, by angle:
| two_theta | I (rel.) |
| --- | --- |
| 33.44 | 100.0 |
| 33.76 | 55.1 |
| 34.18 | 81.4 |
| 34.71 | 46.1 |
| 49.20 | 38.2 |
| 59.70 | 26.3 |
| 61.41 | 17.3 |
| 61.88 | 14.7 |
| 67.96 | 25.5 |
| 68.72 | 14.2 |